The following is a theoretical powder diffraction line list of PbBr2O7. It was derived from DFT lattice parameters and positions (GGA-PBE), using Cu Kα (weighted mean of Kα1 and Kα2).
No peak broadening, texture or thermal motion is included.

abc: 12.281 7.980 8.674
angles: 90.00 129.36 90.00
Space group C2/c (No. 15)
Inequivalent atoms, fractional coordinates:
Pb 0.000 0.145 0.250 x4
Br 0.193 0.485 0.696 x8
O 0.000 0.186 0.750 x4
O 0.097 0.337 0.099 x8
O 0.137 0.049 0.630 x8
O 0.199 0.410 0.519 x8

Top 12 peaks for 5 to 70 degrees two-theta, by intensity:
| 2θ/deg | I_rel | index |
| --- | --- | --- |
| 15.12 | 100.0 | 1 1 -1 |
| 29.23 | 81.1 | 4 0 -2 |
| 26.62 | 76.9 | 0 0 2 |
| 25.98 | 65.7 | 0 2 1 |
| 30.38 | 56.6 | 3 1 0 |
| 24.52 | 45.8 | 1 1 -2 |
| 30.50 | 38.1 | 2 2 -2 |
| 41.84 | 30.0 | 4 0 -4 |
| 38.49 | 28.5 | 4 2 -1 |
| 35.03 | 25.5 | 1 3 0 |
| 23.36 | 25.0 | 1 1 1 |
| 50.25 | 22.1 | 1 1 -4 |

***

The following is a theoretical powder diffraction line list of ZrMn6Ga2Sn4. It was derived from DFT lattice parameters and positions (GGA-PBE), using Cu Kα (weighted mean of Kα1 and Kα2).
No peak broadening, texture or thermal motion is included.

abc: 5.3119 5.3119 8.9868
angles: 90.00 90.00 120.00
Space group P6/mmm (No. 191)
Inequivalent atoms, fractional coordinates:
Zr 0.0000 0.0000 0.0000 x1
Mn 0.0000 0.5000 0.2488 x6
Ga 0.0000 0.0000 0.3111 x2
Sn 0.3333 0.6667 0.0000 x2
Sn 0.3333 0.6667 0.5000 x2

Top 12 peaks for 5 to 70 degrees two-theta, by intensity:
| 2θ/deg | I_rel | index |
| --- | --- | --- |
| 39.41 | 100.0 | 1 1 2 |
| 33.75 | 83.7 | 1 1 0 |
| 44.24 | 72.2 | 2 0 2 |
| 40.14 | 38.9 | 0 0 4 |
| 53.42 | 28.1 | 1 1 4 |
| 64.18 | 24.1 | 3 0 2 |
| 35.77 | 20.0 | 1 0 3 |
| 60.36 | 16.3 | 3 0 0 |
| 39.17 | 16.0 | 2 0 0 |
| 27.75 | 14.5 | 1 0 2 |
| 44.90 | 13.3 | 1 0 4 |
| 19.29 | 11.6 | 1 0 0 |